Starting from a crystal structure in the Materials Project, relaxed with GGA+U, the powder XRD pattern of Li2VFeO4 was calculated for Cu Kα (λ = 1.5418 Å).

Principal peaks in the range 2θ = 10–90°, in order of rising 2θ:
h k l, 2θ (°), Rel. int.
1 0 0, 18.1, 100
0 2 -2, 34.9, 14
0 2 1, 35.1, 14
1 0 -3, 35.3, 14
2 0 0, 36.7, 12
1 -2 2, 42.4, 29
1 2 1, 42.7, 28
2 0 -3, 42.9, 28
1 0 3, 46.7, 14
1 2 -5, 62.0, 15

Structure:
```
data_Li2VFeO4
_symmetry_space_group_name_H-M 'P -1'
_symmetry_Int_Tables_number 2
_cell_length_a 5.184
_cell_length_b 6.020
_cell_length_c 7.895
_cell_angle_alpha 101.22
_cell_angle_beta 108.74
_cell_angle_gamma 90.13
loop_
_symmetry_equiv_pos_as_xyz
'x,y,z'
'-x,-y,-z'
loop_
_atom_site_label
_atom_site_type_symbol
_atom_site_fract_x
_atom_site_fract_y
_atom_site_fract_z
Li1 Li 0.001 0.087 0.333
Li2 Li 0.001 0.252 0.002
Li3 Li 0.002 0.420 0.667
V1 V 0.499 0.835 0.333
V2 V 0.500 0.000 0.000
Fe1 Fe 0.499 0.664 0.667
Fe2 Fe 0.500 0.500 0.000
O1 O 0.269 0.700 0.836
O2 O 0.271 0.378 0.503
O3 O 0.273 0.547 0.173
O4 O 0.274 0.048 0.170
O5 O 0.274 0.878 0.507
O6 O 0.276 0.206 0.840
```



Starting from a crystal structure in the Materials Project, relaxed with GGA+U, the powder XRD pattern of Li4VFe3O8 was calculated for Cu Kα (λ = 1.5418 Å).

Principal peaks in the range 2θ = 10–90°, in order of rising 2θ:
h k l, 2θ (°), Rel. int.
0 1 1, 18.1, 100
0 1 -3, 35.1, 29
2 -1 1, 35.2, 14
0 2 2, 36.8, 17
0 0 4, 42.6, 55
2 -2 0, 42.8, 27
2 1 3, 46.7, 10
2 3 1, 56.4, 12
2 2 -4, 61.9, 22
2 -2 4, 62.1, 22

Structure:
```
data_Li4VFe3O8
_symmetry_space_group_name_H-M 'P -1'
_symmetry_Int_Tables_number 2
_cell_length_a 5.978
_cell_length_b 5.992
_cell_length_c 8.483
_cell_angle_alpha 89.98
_cell_angle_beta 89.99
_cell_angle_gamma 89.74
loop_
_symmetry_equiv_pos_as_xyz
'x,y,z'
'-x,-y,-z'
loop_
_atom_site_label
_atom_site_type_symbol
_atom_site_fract_x
_atom_site_fract_y
_atom_site_fract_z
Li1 Li 0.000 0.000 0.000
Li2 Li 0.000 0.500 0.500
Li3 Li 0.244 0.251 0.751
Li4 Li 0.253 0.752 0.250
Li5 Li 0.500 0.000 0.000
Li6 Li 0.500 0.500 0.500
V1 V 0.000 0.000 0.500
V2 V 0.500 0.500 0.000
Fe1 Fe 0.000 0.500 0.000
Fe2 Fe 0.248 0.249 0.248
Fe3 Fe 0.249 0.750 0.750
Fe4 Fe 0.500 0.000 0.500
O1 O 0.000 0.015 0.250
O2 O 0.002 0.519 0.753
O3 O 0.247 0.233 0.492
O4 O 0.249 0.766 0.507
O5 O 0.267 0.261 0.009
O6 O 0.277 0.733 0.993
O7 O 0.498 0.985 0.739
O8 O 0.499 0.489 0.239
```



Starting from a crystal structure in the Materials Project, relaxed with GGA+U, the powder XRD pattern of Li2VFeO4 was calculated for Cu Kα (λ = 1.5418 Å).

Principal peaks in the range 2θ = 10–90°, in order of rising 2θ:
h k l, 2θ (°), Rel. int.
1 0 1, 23.9, 100
1 1 2, 37.1, 16
1 0 3, 37.9, 16
0 0 4, 41.4, 30
2 0 0, 43.9, 53
2 1 1, 50.6, 22
1 0 5, 57.4, 11
2 0 4, 62.0, 30
2 2 0, 63.9, 14
2 2 4, 79.0, 13

Structure:
```
data_Li2VFeO4
_symmetry_space_group_name_H-M 'I -4 m 2'
_symmetry_Int_Tables_number 119
_symmetry_space_group_name_Hall 'I -4 -2'
_cell_length_a 4.122
_cell_length_b 4.122
_cell_length_c 8.718
_cell_angle_alpha 90.00
_cell_angle_beta 90.00
_cell_angle_gamma 90.00
loop_
_atom_site_label
_atom_site_type_symbol
_atom_site_fract_x
_atom_site_fract_y
_atom_site_fract_z
Li1 Li 0.000 0.000 0.000
Li2 Li 0.000 0.500 0.250
V1 V 0.000 0.000 0.500
Fe1 Fe 0.000 0.500 0.750
O1 O 0.000 0.000 0.270
O2 O 0.000 0.500 0.513
```